# 1
Computed XRD peak list of SrLaCoO4 for Cu Kα, from a DFT-relaxed cell (PBE+U, the Materials Project).
Neutral-atom scattering factors, no anomalous dispersion.

Cell and atoms:
a b c (Å): 6.946 7.702 8.644
angles (deg): 116.41 97.25 106.11
Atoms (fractional coordinates):
1 Sr 0.000 0.000 0.000
2 Sr 0.000 0.253 0.501
3 Sr 0.002 0.748 0.500
4 Sr 0.999 0.499 0.998
5 La 0.568 0.465 0.642
6 La 0.569 0.960 0.641
7 La 0.572 0.214 0.142
8 La 0.573 0.715 0.144
9 Co 0.276 0.477 0.316
10 Co 0.277 0.229 0.820
11 Co 0.277 0.730 0.821
12 Co 0.277 0.978 0.318
13 O 0.293 0.355 0.064
14 O 0.293 0.493 0.825
15 O 0.293 0.864 0.082
16 O 0.294 0.110 0.573
17 O 0.295 0.242 0.322
18 O 0.295 0.728 0.322
19 O 0.295 0.980 0.825
20 O 0.310 0.616 0.577
21 O 0.616 0.356 0.903
22 O 0.617 0.107 0.405
23 O 0.620 0.862 0.914
24 O 0.621 0.603 0.396
25 O 0.936 0.603 0.735
26 O 0.938 0.099 0.732
27 O 0.938 0.351 0.233
28 O 0.940 0.854 0.237

Largest 10 diffraction maxima, in order of rising 2θ, 5 to 70 degrees two-theta:
2θ (°), I_rel
31.23, 74
31.32, 73
32.80, 100
42.45, 43
43.62, 39
46.95, 26
47.20, 26
54.68, 24
57.52, 27
57.70, 32

=====

# 2
Computed XRD peak list of SrLaCoO4 for Cu Kα, from a DFT-relaxed cell (PBE+U, the Materials Project).
Neutral-atom scattering factors, no anomalous dispersion.

Cell and atoms:
a b c (Å): 6.866 6.866 6.866
angles (deg): 147.37 147.37 46.82
Atoms (fractional coordinates):
1 Sr 0.000 0.000 0.000
2 La 0.717 0.717 0.000
3 Co 0.361 0.361 0.000
4 O 0.195 0.195 0.000
5 O 0.353 0.853 0.500
6 O 0.531 0.531 0.000
7 O 0.853 0.353 0.500

Largest 10 diffraction maxima, in order of rising 2θ, 5 to 70 degrees two-theta:
2θ (°), I_rel
24.13, 20
31.49, 100
32.83, 70
42.86, 17
43.91, 28
47.12, 37
55.19, 15
57.77, 36
65.73, 13
68.83, 17

=====

# 3
Computed XRD peak list of SrLaCoO4 for Cu Kα, from a DFT-relaxed cell (PBE+U, the Materials Project).
Neutral-atom scattering factors, no anomalous dispersion.

Cell and atoms:
a b c (Å): 6.941 6.941 7.702
angles (deg): 106.12 106.12 32.37
Atoms (fractional coordinates):
1 Sr 0.000 0.000 0.000
2 Sr 0.002 0.002 0.497
3 La 0.716 0.716 0.862
4 La 0.717 0.717 0.351
5 Co 0.361 0.361 0.679
6 Co 0.365 0.365 0.181
7 O 0.189 0.189 0.092
8 O 0.194 0.194 0.596
9 O 0.354 0.354 0.421
10 O 0.354 0.354 0.930
11 O 0.531 0.531 0.764
12 O 0.533 0.533 0.265
13 O 0.849 0.849 0.173
14 O 0.855 0.855 0.676

Largest 10 diffraction maxima, in order of rising 2θ, 5 to 70 degrees two-theta:
2θ (°), I_rel
31.29, 100
32.82, 68
42.48, 29
43.64, 27
46.97, 18
47.21, 18
54.71, 16
55.76, 12
57.56, 18
57.72, 21